Ca2NiSbO6: calculated X-ray diffraction stick pattern (λ = 1.5418 Å (Cu Kα)), based on DFT lattice parameters and positions (GGA+U).
Lines closer than 0.1° are merged.

Atomic structure:
abc: 5.481 7.731 5.658
angles: 90.00 90.62 90.00
Positions (direct):
Ca 0.016 0.250 0.046
Ca 0.483 0.250 0.569
Ca 0.517 0.750 0.431
Ca 0.984 0.750 0.954
Ni 0.500 0.000 0.000
Ni 0.500 0.500 0.000
Sb 0.000 0.000 0.500
Sb 0.000 0.500 0.500
O 0.104 0.750 0.535
O 0.195 0.051 0.792
O 0.195 0.449 0.792
O 0.292 0.048 0.304
O 0.292 0.452 0.304
O 0.407 0.750 0.030
O 0.593 0.250 0.970
O 0.708 0.548 0.696
O 0.708 0.952 0.696
O 0.805 0.551 0.208
O 0.805 0.949 0.208
O 0.896 0.250 0.465

Peak list (6 most intense, 10° ≤ 2θ ≤ 90°, in order of rising 2θ)
(1 0 -1), 22.46 deg, d = 3.958 Å, rel. 39; (0 0 2), 31.63 deg, d = 2.829 Å, rel. 49; (1 2 -1), 32.37 deg, d = 2.765 Å, rel. 98; (1 2 1), 32.55 deg, d = 2.751 Å, rel. 100; (2 0 0), 32.68 deg, d = 2.740 Å, rel. 45; (3 2 1), 58.39 deg, d = 1.580 Å, rel. 46